(1)
Diffraction record for CsDyMgF6. The PXRD pattern is calculated, not measured: it uses DFT lattice parameters and positions (PBE) and Cu Ka.
Peak positions follow from Bragg's law for the DFT cell and can differ from measured ones.

abc: 7.6496 8.1184 10.8923
angles: 90.00 90.00 90.00
Space group Imma (No. 74)
Symmetry-distinct sites (fractional):
Cs: 0.0000 0.2500 0.0740 [4 per cell]
Dy: 0.0000 0.0000 0.5000 [4 per cell]
Mg: 0.2500 0.2500 0.7500 [4 per cell]
F: 0.0000 0.2500 0.4163 [4 per cell]
F: 0.0000 0.2500 0.7903 [4 per cell]
F: 0.2134 0.0735 0.6198 [16 per cell]

Largest 10 diffraction maxima, by intensity, 15 to 90 degrees two-theta:
index	2θ/deg	intensity
1 2 1	26.16	100
0 0 2	16.28	45
2 0 2	28.52	34
2 0 0	23.26	24
3 2 1	42.69	21
2 2 4	46.66	19
0 2 6	55.46	19
0 1 3	26.90	17
1 2 3	35.18	16
2 1 3	35.85	15

(2)
Diffraction record for CsDyPbF6. The PXRD pattern is calculated, not measured: it uses DFT lattice parameters and positions (PBE) and Cu Ka.
Peak positions follow from Bragg's law for the DFT cell and can differ from measured ones.

abc: 6.4713 11.2246 5.9363
angles: 90.00 90.05 90.00
Space group C2 (No. 5)
Symmetry-distinct sites (fractional):
Cs: 0.0000 0.0000 0.0000 [2 per cell]
Dy: 0.0000 0.3334 0.5000 [2 per cell]
Pb: 0.0000 0.6665 0.5000 [2 per cell]
F: 0.1165 0.4843 0.2996 [4 per cell]
F: 0.1678 0.1993 0.2999 [4 per cell]
F: 0.2142 0.8168 0.3009 [4 per cell]

Largest 10 diffraction maxima, by intensity, 15 to 90 degrees two-theta:
index	2θ/deg	intensity
1 1 1	21.80	100
1 3 -2	41.26	54
2 0 0	27.55	53
3 1 1	45.43	29
0 4 1	35.40	26
2 0 1	31.47	22
3 3 0	48.71	19
2 6 0	56.90	14
3 3 2	58.33	13
4 0 -2	65.70	13

(3)
Diffraction record for Cs3Dy3GaTe8. The PXRD pattern is calculated, not measured: it uses DFT lattice parameters and positions (PBE) and Cu Ka.
Peak positions follow from Bragg's law for the DFT cell and can differ from measured ones.

abc: 15.2131 8.7811 10.5616
angles: 90.00 118.72 90.00
Space group C2/m (No. 12)
Symmetry-distinct sites (fractional):
Cs: 0.0000 0.0000 0.0000 [2 per cell]
Cs: 0.2500 0.2500 0.0000 [4 per cell]
Dy: 0.0000 0.5000 0.5000 [2 per cell]
Dy: 0.2500 0.2500 0.5000 [4 per cell]
Ga: 0.0000 0.0000 0.5000 [2 per cell]
Te: 0.0194 0.2405 0.3179 [8 per cell]
Te: 0.2194 0.0000 0.6810 [4 per cell]
Te: 0.2308 0.5000 0.6920 [4 per cell]

Largest 10 diffraction maxima, by intensity, 15 to 90 degrees two-theta:
index	2θ/deg	intensity
2 2 -2	26.72	100
0 4 0	41.11	36
4 0 -4	34.99	30
8 0 -4	49.71	18
4 0 1	32.61	18
8 4 -4	66.42	15
2 2 3	42.98	12
6 2 4	75.25	10
2 2 4	51.97	8
4 4 -4	55.06	8

(4)
Diffraction record for CsDyH. The PXRD pattern is calculated, not measured: it uses DFT lattice parameters and positions (PBE) and Cu Ka.
Peak positions follow from Bragg's law for the DFT cell and can differ from measured ones.

abc: 14.6795 3.7237 6.4538
angles: 90.00 90.00 90.00
Space group Amm2 (No. 38)
Symmetry-distinct sites (fractional):
Cs: 0.1356 0.0000 0.0000 [4 per cell]
Dy: 0.3957 0.0000 0.3214 [4 per cell]
H: 0.0000 0.0000 0.3334 [2 per cell]
H: 0.5000 0.0000 0.9872 [2 per cell]

Largest 10 diffraction maxima, by intensity, 15 to 90 degrees two-theta:
index	2θ/deg	intensity
1 0 2	28.33	100
4 0 0	24.25	50
3 0 2	33.27	44
5 0 2	41.59	40
0 1 1	27.65	35
4 2 0	55.31	31
0 2 0	48.90	28
4 1 1	37.11	25
6 0 2	46.59	16
1 2 2	57.48	14

(5)
Diffraction record for Cs3Dy2I9. The PXRD pattern is calculated, not measured: it uses DFT lattice parameters and positions (PBE) and Cu Ka.
Peak positions follow from Bragg's law for the DFT cell and can differ from measured ones.

abc: 14.8691 14.8691 21.8027
angles: 90.00 90.00 120.00
Space group R-3c (No. 167, hexagonal axes)
Symmetry-distinct sites (fractional):
Cs: 0.0000 0.3379 0.2500 [18 per cell]
Dy: 0.0000 0.0000 0.1555 [12 per cell]
I: 0.0000 0.1592 0.7500 [18 per cell]
I: 0.0060 0.1768 0.4097 [36 per cell]

Largest 10 diffraction maxima, by intensity, 15 to 90 degrees two-theta:
index	2θ/deg	intensity
2 2 3	26.94	100
2 2 6	34.52	34
6 0 0	42.10	29
2 2 9	44.65	23
0 0 6	24.50	20
4 4 3	50.70	16
6 0 6	49.31	15
8 2 3	67.95	13
6 0 12	67.55	11
8 2 6	72.07	8

(6)
Diffraction record for Cs3DyI8. The PXRD pattern is calculated, not measured: it uses DFT lattice parameters and positions (PBE) and Cu Ka.
Peak positions follow from Bragg's law for the DFT cell and can differ from measured ones.

abc: 8.6492 8.6492 17.5550
angles: 90.00 90.00 90.00
Space group I4/mmm (No. 139)
Symmetry-distinct sites (fractional):
Cs: 0.0000 0.0000 0.0000 [2 per cell]
Cs: 0.0000 0.5000 0.2500 [4 per cell]
Dy: 0.0000 0.0000 0.5000 [2 per cell]
I: 0.2149 0.2149 0.3926 [16 per cell]

Largest 10 diffraction maxima, by intensity, 15 to 90 degrees two-theta:
index	2θ/deg	intensity
2 0 4	28.99	100
1 1 2	17.68	56
2 2 0	29.20	49
4 2 4	51.65	24
3 1 2	34.34	18
4 0 0	41.77	14
3 1 6	45.39	12
2 2 8	51.24	12
3 2 1	37.85	11
2 0 6	37.10	10

(7)
Diffraction record for Cs2DyInI6. The PXRD pattern is calculated, not measured: it uses DFT lattice parameters and positions (PBE) and Cu Ka.
Peak positions follow from Bragg's law for the DFT cell and can differ from measured ones.

abc: 8.7055 9.1785 15.3033
angles: 90.00 124.40 90.00
Space group P2_1/c (No. 14)
Symmetry-distinct sites (fractional):
Cs: 0.2259 0.0734 0.2510 [4 per cell]
Dy: 0.5000 0.0000 0.0000 [2 per cell]
In: 0.0000 0.0000 0.5000 [2 per cell]
I: 0.1723 0.1826 0.9586 [4 per cell]
I: 0.2788 0.7201 0.9590 [4 per cell]
I: 0.3496 0.0136 0.7660 [4 per cell]

Largest 10 diffraction maxima, by intensity, 15 to 90 degrees two-theta:
index	2θ/deg	intensity
0 0 4	28.26	100
0 2 2	23.97	27
1 1 -3	19.88	25
2 1 -3	23.70	24
1 3 -1	30.99	23
1 3 0	31.77	23
1 0 -4	23.48	22
3 1 -1	35.36	20
1 3 3	42.43	17
1 2 1	26.10	16

(8)
Diffraction record for Cs2DyInS4. The PXRD pattern is calculated, not measured: it uses DFT lattice parameters and positions (PBE) and Cu Ka.
Peak positions follow from Bragg's law for the DFT cell and can differ from measured ones.

abc: 8.5973 8.6673 12.3506
angles: 90.00 90.00 90.00
Space group Imma (No. 74)
Symmetry-distinct sites (fractional):
Cs: 0.0000 0.0000 0.0000 [4 per cell]
Cs: 0.2500 0.2500 0.2500 [4 per cell]
Dy: 0.2500 0.2500 0.7500 [4 per cell]
In: 0.0000 0.0000 0.5000 [4 per cell]
S: 0.0000 0.0437 0.7284 [8 per cell]
S: 0.2024 0.2500 0.5204 [8 per cell]

Largest 10 diffraction maxima, by intensity, 15 to 90 degrees two-theta:
index	2θ/deg	intensity
2 2 0	29.26	100
2 2 4	41.62	89
0 2 2	25.10	59
2 0 2	25.24	59
0 0 4	28.92	52
4 2 2	49.59	23
2 4 2	49.36	23
2 6 0	68.58	21
0 4 4	51.53	18
4 0 4	51.83	18

(9)
Diffraction record for Cs2DyIrO6. The PXRD pattern is calculated, not measured: it uses DFT lattice parameters and positions (PBE) and Cu Ka.
Peak positions follow from Bragg's law for the DFT cell and can differ from measured ones.

abc: 6.6590 6.6590 5.7661
angles: 90.00 90.00 120.00
Space group P-3m1 (No. 164)
Symmetry-distinct sites (fractional):
Cs: 0.3333 0.6667 0.1470 [2 per cell]
Dy: 0.0000 0.0000 0.5000 [1 per cell]
Ir: 0.0000 0.0000 0.0000 [1 per cell]
O: 0.1325 0.2650 0.7928 [6 per cell]

Largest 10 diffraction maxima, by intensity, 15 to 90 degrees two-theta:
index	2θ/deg	intensity
1 1 0	26.78	100
1 0 0	15.37	91
0 1 2	34.79	67
2 0 2	44.44	41
1 2 2	52.64	36
3 1 2	66.90	29
1 0 1	21.80	27
1 1 2	41.43	23
3 0 0	47.29	21
0 0 2	31.02	21

(10)
Diffraction record for CsDyMn2Se4. The PXRD pattern is calculated, not measured: it uses DFT lattice parameters and positions (PBE) and Cu Ka.
Peak positions follow from Bragg's law for the DFT cell and can differ from measured ones.

abc: 6.8326 8.7817 9.4893
angles: 90.00 90.00 90.00
Space group I222 (No. 23)
Symmetry-distinct sites (fractional):
Cs: 0.0000 0.0000 0.0000 [2 per cell]
Dy: 0.0000 0.0000 0.5000 [2 per cell]
Mn: 0.0000 0.5000 0.1020 [4 per cell]
Se: 0.2493 0.3381 0.8281 [8 per cell]

Largest 10 diffraction maxima, by intensity, 15 to 90 degrees two-theta:
index	2θ/deg	intensity
1 1 2	25.00	100
2 2 0	33.23	67
2 0 2	32.29	55
0 2 2	27.68	53
1 2 1	25.88	53
1 1 4	41.59	46
1 3 2	38.43	34
1 1 0	16.44	34
0 2 0	20.22	24
2 4 0	49.34	23